For Na2Mo2O7, DFT lattice parameters and positions (GGA+U) gives the simulated powder diffraction line list in this record (Cu Kα (λ = 1.5418 Å)).
No peak broadening, texture or thermal motion is included.

Largest 6 diffraction maxima, by intensity, 2θ from 10° to 90°:
2θ/deg  d_spacing  I/Imax
28.56  3.126  100
18.41  4.819  90
15.85  5.592  88
27.08  3.293  71
27.56  3.236  66
27.86  3.202  62

Cell and atoms:
Cell lengths 7.316, 12.036, 15.129 Å; angles 90.00, 90.00, 90.00 degrees
Space group Cmce (No. 64)
Unique sites:
Na  0.000  0.183  0.151 (multiplicity 8)
Na  0.250  0.000  0.000 (multiplicity 8)
Mo  0.000  0.244  0.914 (multiplicity 8)
Mo  0.250  0.079  0.750 (multiplicity 8)
O  0.000  0.118  0.718 (multiplicity 8)
O  0.000  0.125  0.467 (multiplicity 8)
O  0.000  0.139  0.997 (multiplicity 8)
O  0.200  0.012  0.163 (multiplicity 16)
O  0.202  0.227  0.844 (multiplicity 16)

***

For PrMn2O6, DFT lattice parameters and positions (GGA+U) gives the simulated powder diffraction line list in this record (Cu Kα (λ = 1.5418 Å)).
No peak broadening, texture or thermal motion is included.

Largest 6 diffraction maxima, by intensity, 2θ from 10° to 90°:
2θ/deg  d_spacing  I/Imax
33.27  2.693  100
20.27  4.382  78
20.12  4.414  69
47.76  1.904  56
39.32  2.291  40
39.13  2.302  36

Cell and atoms:
Cell lengths 7.617, 5.417, 5.357 Å; angles 90.00, 90.00, 90.00 degrees
Space group Pmn2_1 (No. 31)
Unique sites:
Pr  0.000  0.211  0.000 (multiplicity 2)
Mn  0.247  0.738  0.997 (multiplicity 4)
O  0.000  0.248  0.545 (multiplicity 2)
O  0.000  0.754  0.922 (multiplicity 2)
O  0.219  0.463  0.203 (multiplicity 4)
O  0.219  0.972  0.263 (multiplicity 4)

***

For Li4Mn3Co2Sn3O16, DFT lattice parameters and positions (GGA+U) gives the simulated powder diffraction line list in this record (Cu Kα (λ = 1.5418 Å)).
No peak broadening, texture or thermal motion is included.

Largest 6 diffraction maxima, by intensity, 2θ from 10° to 90°:
2θ/deg  d_spacing  I/Imax
18.17  4.882  100
35.26  2.546  78
19.13  4.640  74
60.88  1.522  43
44.10  2.054  36
34.68  2.587  36

Cell and atoms:
Cell lengths 10.538, 6.089, 9.765 Å; angles 90.00, 90.44, 90.00 degrees
Space group Cm (No. 8)
Unique sites:
Li  0.000  0.000  0.000 (multiplicity 2)
Li  0.003  0.000  0.493 (multiplicity 2)
Li  0.186  0.500  0.112 (multiplicity 2)
Li  0.351  0.000  0.604 (multiplicity 2)
Mn  0.345  0.500  0.779 (multiplicity 2)
Mn  0.430  0.246  0.280 (multiplicity 4)
Co  0.182  0.500  0.498 (multiplicity 2)
Co  0.350  0.000  0.005 (multiplicity 2)
Sn  0.099  0.254  0.780 (multiplicity 4)
Sn  0.183  0.000  0.280 (multiplicity 2)
O  0.003  0.000  0.184 (multiplicity 2)
O  0.003  0.000  0.677 (multiplicity 2)
O  0.031  0.500  0.654 (multiplicity 2)
O  0.087  0.240  0.393 (multiplicity 4)
O  0.170  0.000  0.902 (multiplicity 2)
O  0.192  0.500  0.895 (multiplicity 2)
O  0.262  0.281  0.660 (multiplicity 4)
O  0.280  0.228  0.162 (multiplicity 4)
O  0.353  0.500  0.383 (multiplicity 2)
O  0.359  0.000  0.388 (multiplicity 2)
O  0.429  0.266  0.891 (multiplicity 4)
O  0.496  0.000  0.168 (multiplicity 2)

***

For SrCaMn2O6, DFT lattice parameters and positions (GGA+U) gives the simulated powder diffraction line list in this record (Cu Kα (λ = 1.5418 Å)).
No peak broadening, texture or thermal motion is included.

Largest 6 diffraction maxima, by intensity, 2θ from 10° to 90°:
2θ/deg  d_spacing  I/Imax
32.91  2.722  100
33.22  2.697  49
47.70  1.907  43
59.16  1.562  36
69.02  1.361  24
46.76  1.943  23

Cell and atoms:
Cell lengths 7.634, 7.771, 3.810 Å; angles 90.00, 90.00, 90.00 degrees
Space group Cmmm (No. 65)
Unique sites:
Sr  0.000  0.000  0.000 (multiplicity 2)
Ca  0.000  0.500  0.000 (multiplicity 2)
Mn  0.250  0.250  0.500 (multiplicity 4)
O  0.000  0.254  0.500 (multiplicity 4)
O  0.245  0.500  0.500 (multiplicity 4)
O  0.250  0.250  0.000 (multiplicity 4)

***

For NaMgFeS2O8, DFT lattice parameters and positions (GGA+U) gives the simulated powder diffraction line list in this record (Cu Kα (λ = 1.5418 Å)).
No peak broadening, texture or thermal motion is included.

Largest 6 diffraction maxima, by intensity, 2θ from 10° to 90°:
2θ/deg  d_spacing  I/Imax
21.04  4.223  100
29.02  3.077  33
11.73  7.546  26
39.31  2.292  24
25.17  3.538  18
32.04  2.794  15

Cell and atoms:
Cell lengths 8.491, 6.015, 7.584 Å; angles 90.00, 95.74, 90.00 degrees
Space group C2 (No. 5)
Unique sites:
Na  0.000  0.000  0.000 (multiplicity 2)
Mg  0.000  0.477  0.000 (multiplicity 2)
Fe  0.000  0.214  0.500 (multiplicity 2)
S  0.124  0.713  0.296 (multiplicity 4)
O  0.018  0.514  0.307 (multiplicity 4)
O  0.037  0.924  0.313 (multiplicity 4)
O  0.170  0.704  0.107 (multiplicity 4)
O  0.236  0.198  0.573 (multiplicity 4)

***

For LiFe2OF3, DFT lattice parameters and positions (GGA+U) gives the simulated powder diffraction line list in this record (Cu Kα (λ = 1.5418 Å)).
No peak broadening, texture or thermal motion is included.

Largest 6 diffraction maxima, by intensity, 2θ from 10° to 90°:
2θ/deg  d_spacing  I/Imax
24.31  3.661  100
30.61  2.921  82
49.82  1.830  70
19.51  4.550  58
35.17  2.552  52
38.12  2.361  42

Cell and atoms:
Cell lengths 10.774, 6.164, 5.020 Å; angles 90.00, 90.00, 90.00 degrees
Space group Pnma (No. 62)
Unique sites:
Li  0.092  0.250  0.053 (multiplicity 4)
Fe  0.000  0.000  0.500 (multiplicity 4)
Fe  0.211  0.750  0.956 (multiplicity 4)
O  0.060  0.750  0.731 (multiplicity 4)
F  0.118  0.250  0.688 (multiplicity 4)
F  0.168  0.010  0.232 (multiplicity 8)

***

For Sr2LiFeO3F, DFT lattice parameters and positions (GGA+U) gives the simulated powder diffraction line list in this record (Cu Kα (λ = 1.5418 Å)).
No peak broadening, texture or thermal motion is included.

Largest 6 diffraction maxima, by intensity, 2θ from 10° to 90°:
2θ/deg  d_spacing  I/Imax
28.95  3.085  100
33.64  2.664  53
48.10  1.891  40
33.36  2.686  31
57.31  1.608  31
48.31  1.884  29

Cell and atoms:
Cell lengths 3.768, 3.768, 16.116 Å; angles 90.00, 90.00, 90.00 degrees
Space group I4mm (No. 107)
Unique sites:
Sr  0.000  0.000  0.000 (multiplicity 2)
Sr  0.000  0.000  0.318 (multiplicity 2)
Li  0.000  0.000  0.148 (multiplicity 2)
Fe  0.000  0.000  0.668 (multiplicity 2)
O  0.000  0.000  0.829 (multiplicity 2)
O  0.000  0.500  0.121 (multiplicity 4)
F  0.000  0.000  0.464 (multiplicity 2)